For CaLuMn2O6, a structure optimized by DFT (GGA+U) gives the calculated XRD peak list in this record (Cu Ka).

Top 12 peaks for 10 to 90 degrees two-theta, by angle:
(hkl)	two_theta	Rel. int.
1 0 0	11.72	66
1 1 1	26.12	51
0 0 2	32.32	23
2 1 1	33.35	100
0 2 0	33.91	24
1 0 2	34.49	14
3 1 1	43.02	16
0 2 2	47.55	23
4 0 0	48.22	16
1 2 2	49.14	14
1 1 3	53.98	16
2 3 1	60.29	34

```
CaLuMn2O6
1.0
7.550 0.000 0.000
0.000 5.287 0.000
0.000 0.000 5.540
Ca Lu Mn O
2 2 4 12
Cartesian
0.000 1.265 0.000 Ca
0.000 4.022 2.770 Ca
3.775 1.412 0.704 Lu
3.775 3.875 3.474 Lu
1.888 1.296 3.084 Mn
1.888 3.992 0.314 Mn
5.662 1.296 3.084 Mn
5.662 3.992 0.314 Mn
0.000 1.765 3.239 O
0.000 3.523 0.469 O
1.629 0.327 1.367 O
1.629 4.960 4.137 O
2.369 2.393 4.731 O
2.369 2.895 1.961 O
3.775 0.738 2.869 O
3.775 4.550 0.099 O
5.181 2.393 4.731 O
5.181 2.895 1.961 O
5.921 0.327 1.367 O
5.921 4.960 4.137 O
```